Calculated powder diffraction line list
Compound: GaAgBiAu
Radiation: CuKα
Structure: a structure optimized by DFT (PBE)
Peak positions follow from Bragg's law for the DFT cell and can differ from measured ones.

Most intense lines, 10 to 80 degrees two-theta, sorted by position:
| 2θ (°) | intensity |
| --- | --- |
| 21.85 | 16.0 |
| 36.06 | 100.0 |
| 42.56 | 9.4 |
| 51.92 | 17.7 |
| 56.98 | 4.2 |
| 64.83 | 36.2 |
| 69.31 | 3.3 |
| 76.49 | 11.4 |

Structure:
Cell lengths 4.982, 4.982, 4.982 Å; angles 60.00, 60.00, 60.00 degrees
Fractional coordinates of all 4 atoms:
Ga: 0.000 0.000 0.000
Ag: 0.250 0.250 0.250
Bi: 0.500 0.500 0.500
Au: 0.750 0.750 0.750